[1]
This entry pairs a crystal structure of Dy3Ge2Rh2 with its computed X-ray powder pattern. Radiation: Cu Kα X-rays. Structure: a GGA-PBE-relaxed structure.
Peak positions follow from Bragg's law for the DFT cell and can differ from measured ones.

Largest 10 diffraction maxima, in order of rising 2θ, 15° ≤ 2θ ≤ 90°:
| two_theta | d [Å] | I_rel |
| --- | --- | --- |
| 30.4 | 2.940 | 31.6 |
| 33.4 | 2.680 | 62.5 |
| 34.0 | 2.640 | 56.4 |
| 34.5 | 2.603 | 56.2 |
| 34.6 | 2.589 | 24.6 |
| 35.4 | 2.535 | 49.2 |
| 37.8 | 2.379 | 76.9 |
| 39.8 | 2.266 | 100.0 |
| 40.9 | 2.207 | 36.5 |
| 49.0 | 1.859 | 23.7 |

Structure:
```
Dy3Ge2Rh2
1.0
5.604 0.000 0.000
0.000 7.882 0.000
0.000 0.000 13.239
Dy Ge Rh
12 8 8
direct
0.133 0.248 0.250
0.133 0.252 0.750
0.353 0.607 0.100
0.353 0.607 0.400
0.353 0.893 0.600
0.353 0.893 0.900
0.647 0.107 0.100
0.647 0.107 0.400
0.647 0.393 0.600
0.647 0.393 0.900
0.867 0.748 0.250
0.867 0.752 0.750
0.159 0.250 0.000
0.159 0.250 0.500
0.370 0.608 0.750
0.370 0.892 0.250
0.630 0.108 0.750
0.630 0.392 0.250
0.841 0.750 0.000
0.841 0.750 0.500
0.125 0.539 0.594
0.125 0.539 0.906
0.125 0.961 0.094
0.125 0.961 0.406
0.875 0.039 0.594
0.875 0.039 0.906
0.875 0.461 0.094
0.875 0.461 0.406
```

---

[2]
This entry pairs a crystal structure of Dy3Ge3Ru2 with its computed X-ray powder pattern. Radiation: Cu Kα X-rays. Structure: a GGA-PBE-relaxed structure.
Peak positions follow from Bragg's law for the DFT cell and can differ from measured ones.

Largest 10 diffraction maxima, in order of rising 2θ, 15° ≤ 2θ ≤ 90°:
| two_theta | d [Å] | I_rel |
| --- | --- | --- |
| 32.9 | 2.721 | 76.9 |
| 34.0 | 2.636 | 100.0 |
| 36.0 | 2.492 | 28.2 |
| 37.7 | 2.385 | 66.9 |
| 38.3 | 2.351 | 21.3 |
| 38.5 | 2.336 | 24.8 |
| 41.5 | 2.175 | 22.0 |
| 42.0 | 2.151 | 58.0 |
| 57.2 | 1.612 | 19.3 |
| 63.6 | 1.462 | 20.7 |

Structure:
```
Dy3Ge3Ru2
1.0
2.151 -5.443 0.000
2.151 5.443 0.000
0.000 0.000 14.016
Dy Ge Ru
6 6 4
direct
0.078 0.922 0.614
0.078 0.922 0.886
0.353 0.647 0.750
0.647 0.353 0.250
0.922 0.078 0.114
0.922 0.078 0.386
0.335 0.665 0.250
0.383 0.617 0.541
0.383 0.617 0.959
0.617 0.383 0.041
0.617 0.383 0.459
0.665 0.335 0.750
0.213 0.787 0.081
0.213 0.787 0.419
0.787 0.213 0.581
0.787 0.213 0.919
```

---

[3]
This entry pairs a crystal structure of DyGe2Ru2 with its computed X-ray powder pattern. Radiation: Cu Kα X-rays. Structure: a GGA-PBE-relaxed structure.
Peak positions follow from Bragg's law for the DFT cell and can differ from measured ones.

Largest 10 diffraction maxima, in order of rising 2θ, 15° ≤ 2θ ≤ 90°:
| two_theta | d [Å] | I_rel |
| --- | --- | --- |
| 34.4 | 2.610 | 62.0 |
| 34.8 | 2.576 | 100.0 |
| 42.4 | 2.133 | 60.6 |
| 47.5 | 1.913 | 12.2 |
| 50.9 | 1.795 | 16.6 |
| 55.7 | 1.652 | 31.0 |
| 61.5 | 1.508 | 19.8 |
| 64.4 | 1.447 | 20.0 |
| 68.3 | 1.374 | 13.6 |
| 72.6 | 1.302 | 23.0 |

Structure:
```
DyGe2Ru2
1.0
-2.133 2.133 4.948
2.133 -2.133 4.948
2.133 2.133 -4.948
Dy Ge Ru
1 2 2
direct
0.000 0.000 0.000
0.370 0.370 0.000
0.630 0.630 0.000
0.250 0.750 0.500
0.750 0.250 0.500
```

---

[4]
This entry pairs a crystal structure of Dy5Ge2Sb2 with its computed X-ray powder pattern. Radiation: Cu Kα X-rays. Structure: a GGA-PBE-relaxed structure.
Peak positions follow from Bragg's law for the DFT cell and can differ from measured ones.

Largest 10 diffraction maxima, in order of rising 2θ, 15° ≤ 2θ ≤ 90°:
| two_theta | d [Å] | I_rel |
| --- | --- | --- |
| 25.2 | 3.538 | 43.9 |
| 30.8 | 2.902 | 88.7 |
| 32.0 | 2.800 | 53.6 |
| 32.7 | 2.737 | 97.5 |
| 33.6 | 2.665 | 60.7 |
| 34.7 | 2.585 | 100.0 |
| 36.3 | 2.474 | 72.4 |
| 36.4 | 2.467 | 73.0 |
| 39.1 | 2.303 | 36.8 |
| 58.0 | 1.589 | 31.3 |

Structure:
```
Dy5Ge2Sb2
1.0
7.575 -3.952 0.000
7.575 3.952 0.000
0.000 0.000 7.934
Dy Ge Sb
10 4 4
direct
0.000 0.000 0.000
0.037 0.707 0.664
0.207 0.537 0.164
0.293 0.963 0.664
0.463 0.793 0.164
0.500 0.500 0.500
0.537 0.207 0.836
0.707 0.037 0.336
0.793 0.463 0.836
0.963 0.293 0.336
0.138 0.862 0.363
0.362 0.638 0.863
0.638 0.362 0.137
0.862 0.138 0.637
0.205 0.205 0.000
0.295 0.295 0.500
0.705 0.705 0.500
0.795 0.795 0.000
```

---

[5]
This entry pairs a crystal structure of DyScGe with its computed X-ray powder pattern. Radiation: Cu Kα X-rays. Structure: a GGA-PBE-relaxed structure.
Peak positions follow from Bragg's law for the DFT cell and can differ from measured ones.

Largest 10 diffraction maxima, in order of rising 2θ, 15° ≤ 2θ ≤ 90°:
| two_theta | d [Å] | I_rel |
| --- | --- | --- |
| 24.1 | 3.689 | 24.9 |
| 25.0 | 3.556 | 45.4 |
| 28.9 | 3.092 | 48.4 |
| 33.2 | 2.699 | 45.6 |
| 34.3 | 2.612 | 56.8 |
| 34.5 | 2.603 | 69.6 |
| 35.0 | 2.565 | 100.0 |
| 35.6 | 2.520 | 73.1 |
| 36.4 | 2.466 | 26.3 |
| 54.8 | 1.676 | 19.4 |

Structure:
```
DyScGe
1.0
6.184 0.000 0.000
0.000 7.399 4.596
0.000 -7.399 4.596
Dy Sc Ge
6 6 6
direct
0.000 0.000 0.000
0.000 0.253 0.511
0.000 0.511 0.253
0.500 0.227 0.960
0.500 0.552 0.552
0.500 0.960 0.227
0.251 0.598 0.907
0.251 0.907 0.598
0.500 0.245 0.615
0.500 0.615 0.245
0.749 0.598 0.907
0.749 0.907 0.598
0.000 0.237 0.836
0.000 0.655 0.655
0.000 0.836 0.237
0.293 0.271 0.271
0.500 0.865 0.865
0.707 0.271 0.271
```

---

[6]
This entry pairs a crystal structure of DySnGe with its computed X-ray powder pattern. Radiation: Cu Kα X-rays. Structure: a GGA-PBE-relaxed structure.
Peak positions follow from Bragg's law for the DFT cell and can differ from measured ones.

Largest 10 diffraction maxima, in order of rising 2θ, 15° ≤ 2θ ≤ 90°:
| two_theta | d [Å] | I_rel |
| --- | --- | --- |
| 24.2 | 3.677 | 11.0 |
| 32.9 | 2.723 | 21.9 |
| 34.5 | 2.600 | 100.0 |
| 42.5 | 2.127 | 15.4 |
| 44.0 | 2.059 | 13.9 |
| 54.8 | 1.676 | 10.4 |
| 56.0 | 1.642 | 9.8 |
| 59.8 | 1.547 | 10.5 |
| 72.6 | 1.302 | 13.0 |
| 74.7 | 1.270 | 10.9 |

Structure:
```
DySnGe
1.0
2.127 -8.168 0.000
2.127 8.168 0.000
0.000 0.000 4.117
Dy Sn Ge
2 2 2
direct
0.095 0.905 0.750
0.905 0.095 0.250
0.251 0.749 0.250
0.749 0.251 0.750
0.446 0.554 0.750
0.554 0.446 0.250
```

---

[7]
This entry pairs a crystal structure of DyTiGe with its computed X-ray powder pattern. Radiation: Cu Kα X-rays. Structure: a GGA-PBE-relaxed structure.
Peak positions follow from Bragg's law for the DFT cell and can differ from measured ones.

Largest 10 diffraction maxima, in order of rising 2θ, 15° ≤ 2θ ≤ 90°:
| two_theta | d [Å] | I_rel |
| --- | --- | --- |
| 31.2 | 2.865 | 81.2 |
| 32.1 | 2.785 | 100.0 |
| 33.4 | 2.684 | 69.2 |
| 35.1 | 2.557 | 32.7 |
| 39.3 | 2.295 | 83.9 |
| 44.7 | 2.026 | 68.0 |
| 56.1 | 1.638 | 41.3 |
| 58.1 | 1.588 | 29.8 |
| 65.0 | 1.435 | 29.9 |
| 82.4 | 1.171 | 31.0 |

Structure:
```
DyTiGe
1.0
4.052 0.000 0.000
0.000 4.052 0.000
0.000 0.000 7.670
Dy Ti Ge
2 2 2
direct
0.250 0.250 0.156
0.750 0.750 0.844
0.250 0.750 0.500
0.750 0.250 0.500
0.250 0.250 0.744
0.750 0.750 0.256
```

---

[8]
This entry pairs a crystal structure of Dy4Zn5Ge6 with its computed X-ray powder pattern. Radiation: Cu Kα X-rays. Structure: a GGA-PBE-relaxed structure.
Peak positions follow from Bragg's law for the DFT cell and can differ from measured ones.

Largest 10 diffraction maxima, in order of rising 2θ, 15° ≤ 2θ ≤ 90°:
| two_theta | d [Å] | I_rel |
| --- | --- | --- |
| 27.5 | 3.239 | 17.9 |
| 31.8 | 2.817 | 63.7 |
| 32.4 | 2.765 | 32.3 |
| 34.0 | 2.637 | 18.6 |
| 34.6 | 2.590 | 25.6 |
| 35.5 | 2.532 | 19.8 |
| 36.5 | 2.459 | 100.0 |
| 39.9 | 2.259 | 26.3 |
| 41.8 | 2.163 | 59.3 |
| 52.7 | 1.738 | 15.9 |

Structure:
```
Dy4Zn5Ge6
1.0
2.163 -9.253 0.000
2.163 9.253 0.000
0.000 0.000 15.193
Dy Zn Ge
8 10 12
direct
0.019 0.981 0.500
0.033 0.967 0.763
0.167 0.833 0.304
0.176 0.824 0.944
0.824 0.176 0.444
0.833 0.167 0.804
0.967 0.033 0.263
0.981 0.019 0.000
0.151 0.849 0.627
0.300 0.700 0.624
0.346 0.654 0.274
0.351 0.649 0.980
0.435 0.565 0.686
0.565 0.435 0.186
0.649 0.351 0.480
0.654 0.346 0.774
0.700 0.300 0.124
0.849 0.151 0.127
0.111 0.889 0.117
0.224 0.776 0.485
0.229 0.771 0.766
0.431 0.569 0.407
0.433 0.567 0.129
0.441 0.559 0.854
0.559 0.441 0.354
0.567 0.433 0.629
0.569 0.431 0.907
0.771 0.229 0.266
0.776 0.224 0.985
0.889 0.111 0.617
```

---

> Which formula does entry 2 have?

Dy3Ge3Ru2